Diffraction record for Sm12DySc6. The powder XRD pattern is simulated, not measured: it uses a PBE-relaxed structure and Cu Kα X-rays.
Intensities are scaled so that the largest is 1000.

Most intense lines, 10° ≤ 2θ ≤ 80°, in order of rising 2θ:
h k l	2theta	Rel. int.
3 0 1	26.63	188
2 2 2	29.23	1000
3 1 2	31.63	948
4 0 0	33.88	538
3 3 0	36.00	163
4 2 0	38.02	159
5 1 0	43.61	156
5 3 0	50.27	241
5 2 3	53.36	355
5 3 4	62.00	230

Structure:
```
data_Sm12DySc6
_chemical_formula_sum 'Sm24 Dy2 Sc12'
_space_group_name_H-M_alt 'I m -3'
_space_group_IT_number 204
_space_group_name_Hall '-I 2 2 3'
_cell_length_a 10.584
_cell_length_b 10.584
_cell_length_c 10.584
_cell_angle_alpha 90.00
_cell_angle_beta 90.00
_cell_angle_gamma 90.00
loop_
_atom_site_label
_atom_site_type_symbol
_atom_site_fract_x
_atom_site_fract_y
_atom_site_fract_z
_atom_site_occupancy
Sm1 Sm 0.000 0.268 0.199 1
Dy1 Dy 0.000 0.000 0.000 1
Sc1 Sc 0.000 0.138 0.500 1
```